Record 1
La3HfBe: calculated X-ray diffraction stick pattern (Cu Kα), based on a GGA-PBE-relaxed structure.
No peak broadening, texture or thermal motion is included.

Atomic structure:
```
La3HfBe
1.0
5.389 0.000 0.000
0.000 5.389 0.000
0.000 0.000 5.389
La Hf Be
3 1 1
Direct
0.000 0.000 0.500
0.000 0.500 0.000
0.500 0.000 0.000
0.500 0.500 0.500
0.000 0.000 0.000
```

Main lines, most intense first (10 to 90 degrees two-theta):
28.69°, d 3.111, I 100; 33.25°, d 2.694, I 53; 56.65°, d 1.625, I 45; 47.74°, d 1.905, I 39; 77.16°, d 1.236, I 18; 79.55°, d 1.205, I 17; 88.99°, d 1.100, I 14; 59.42°, d 1.556, I 13

Record 2
LiHf2Be16: calculated X-ray diffraction stick pattern (Cu Kα), based on a GGA-PBE-relaxed structure.
No peak broadening, texture or thermal motion is included.

Atomic structure:
```
LiHf2Be16
1.0
3.785 2.185 3.640
-3.785 2.185 3.640
0.000 -4.370 3.640
Li Hf Be
1 2 16
Direct
0.000 0.000 0.000
0.247 0.247 0.247
0.564 0.564 0.564
0.064 0.563 0.563
0.197 0.612 0.905
0.197 0.905 0.612
0.251 0.251 0.743
0.251 0.743 0.251
0.411 0.902 0.902
0.563 0.064 0.563
0.563 0.563 0.064
0.612 0.197 0.905
0.612 0.905 0.197
0.743 0.251 0.251
0.800 0.800 0.800
0.902 0.411 0.902
0.902 0.902 0.411
0.905 0.197 0.612
0.905 0.612 0.197
```

Main lines, most intense first (10 to 90 degrees two-theta):
23.51°, d 3.785, I 100; 34.18°, d 2.623, I 88; 15.77°, d 5.620, I 73; 48.60°, d 1.873, I 42; 41.32°, d 2.185, I 31; 24.46°, d 3.640, I 30; 48.08°, d 1.892, I 23; 70.77°, d 1.331, I 23

Copy entry 2 word for word.
LiHf2Be16: calculated X-ray diffraction stick pattern (Cu Kα), based on a GGA-PBE-relaxed structure.
No peak broadening, texture or thermal motion is included.

Atomic structure:
```
LiHf2Be16
1.0
3.785 2.185 3.640
-3.785 2.185 3.640
0.000 -4.370 3.640
Li Hf Be
1 2 16
Direct
0.000 0.000 0.000
0.247 0.247 0.247
0.564 0.564 0.564
0.064 0.563 0.563
0.197 0.612 0.905
0.197 0.905 0.612
0.251 0.251 0.743
0.251 0.743 0.251
0.411 0.902 0.902
0.563 0.064 0.563
0.563 0.563 0.064
0.612 0.197 0.905
0.612 0.905 0.197
0.743 0.251 0.251
0.800 0.800 0.800
0.902 0.411 0.902
0.902 0.902 0.411
0.905 0.197 0.612
0.905 0.612 0.197
```

Main lines, most intense first (10 to 90 degrees two-theta):
23.51°, d 3.785, I 100; 34.18°, d 2.623, I 88; 15.77°, d 5.620, I 73; 48.60°, d 1.873, I 42; 41.32°, d 2.185, I 31; 24.46°, d 3.640, I 30; 48.08°, d 1.892, I 23; 70.77°, d 1.331, I 23

Please write out number 1 again, unchanged.
La3HfBe: calculated X-ray diffraction stick pattern (Cu Kα), based on a GGA-PBE-relaxed structure.
No peak broadening, texture or thermal motion is included.

Atomic structure:
```
La3HfBe
1.0
5.389 0.000 0.000
0.000 5.389 0.000
0.000 0.000 5.389
La Hf Be
3 1 1
Direct
0.000 0.000 0.500
0.000 0.500 0.000
0.500 0.000 0.000
0.500 0.500 0.500
0.000 0.000 0.000
```

Main lines, most intense first (10 to 90 degrees two-theta):
28.69°, d 3.111, I 100; 33.25°, d 2.694, I 53; 56.65°, d 1.625, I 45; 47.74°, d 1.905, I 39; 77.16°, d 1.236, I 18; 79.55°, d 1.205, I 17; 88.99°, d 1.100, I 14; 59.42°, d 1.556, I 13